Record 1
Diffraction record for Ba2NpCoS5. The PXRD pattern is theoretical, not measured: it uses the GGA-PBE geometry in Alexandria and Cu Kα.

Structural model:
Unit cell a=4.0994 b=17.7277 c=12.9302 alpha=90.00 beta=90.00 gamma=90.00
Space group Cmc2_1 (No. 36)
Unique sites:
Ba1 0.0000 0.1193 0.0000 (multiplicity 4)
Ba2 0.0000 0.1228 0.3604 (multiplicity 4)
Np1 0.0000 0.1925 0.6847 (multiplicity 4)
Co1 0.0000 0.4335 0.0931 (multiplicity 4)
S1 0.0000 0.0451 0.6631 (multiplicity 4)
S2 0.0000 0.3073 0.3229 (multiplicity 4)
S3 0.0000 0.3090 0.0461 (multiplicity 4)
S4 0.0000 0.3404 0.6798 (multiplicity 4)
S5 0.0000 0.4946 0.9428 (multiplicity 4)

Top 10 peaks for 10° ≤ 2θ ≤ 90°, by angle:
two_theta  I_rel  index
16.97  29  0 2 2
22.94  53  0 2 3
26.46  29  1 3 0
27.36  22  1 3 1
30.51  100  1 1 3
31.05  34  0 6 1
36.26  47  1 5 2
43.17  23  0 8 2
44.18  26  2 0 0
63.51  22  2 8 2

---

Record 2
Diffraction record for K4NdNp3Te8. The PXRD pattern is theoretical, not measured: it uses the GGA-PBE geometry in Alexandria and Cu Kα.

Structural model:
Unit cell a=15.9384 b=9.1851 c=9.7817 alpha=90.00 beta=122.88 gamma=90.00
Space group C2/m (No. 12)
Unique sites:
K1 0.0000 0.0000 0.0000 (multiplicity 2)
K2 0.0000 0.5000 0.0000 (multiplicity 2)
K3 0.2500 0.2500 0.0000 (multiplicity 4)
Nd1 0.0000 0.0000 0.5000 (multiplicity 2)
Np1 0.0000 0.5000 0.5000 (multiplicity 2)
Np2 0.2500 0.2500 0.5000 (multiplicity 4)
Te1 0.0132 0.2519 0.2869 (multiplicity 8)
Te2 0.2372 0.5000 0.7094 (multiplicity 4)
Te3 0.2389 0.0000 0.7112 (multiplicity 4)

Top 10 peaks for 10° ≤ 2θ ≤ 90°, by angle:
two_theta  I_rel  index
10.77  55  0 0 1
22.63  13  4 0 -1
26.66  100  4 0 0
33.99  20  2 2 -3
36.90  36  2 2 2
39.20  38  0 4 0
40.77  14  6 2 -3
46.52  12  4 0 -5
48.04  20  4 4 0
60.45  13  6 2 2

---

Record 3
Diffraction record for BaUZn2O6. The PXRD pattern is theoretical, not measured: it uses the GGA-PBE geometry in Alexandria and Cu Kα.

Structural model:
Unit cell a=11.0097 b=10.3147 c=6.6751 alpha=90.00 beta=112.94 gamma=90.00
Space group C2/c (No. 15)
Unique sites:
Ba1 0.0000 0.1004 0.2500 (multiplicity 4)
U1 0.0000 0.2850 0.7500 (multiplicity 4)
Zn1 0.2007 0.4347 0.1405 (multiplicity 8)
O1 0.0744 0.2871 0.0745 (multiplicity 8)
O2 0.1169 0.1260 0.7085 (multiplicity 8)
O3 0.1522 0.4333 0.8055 (multiplicity 8)

Top 10 peaks for 10° ≤ 2θ ≤ 90°, by angle:
two_theta  I_rel  index
16.12  84  1 1 -1
17.49  63  2 0 0
24.62  65  2 2 0
24.86  100  2 2 -1
29.05  52  0 0 2
29.39  26  1 3 -1
32.69  58  1 3 1
36.06  73  4 0 -2
49.21  28  5 3 -1
49.75  27  3 3 -3

---

Record 4
Diffraction record for La5Ag6. The PXRD pattern is theoretical, not measured: it uses the GGA-PBE geometry in Alexandria and Cu Kα.

Structural model:
Unit cell a=5.3003 b=7.7508 c=15.9963 alpha=90.00 beta=90.00 gamma=90.00
Space group Immm (No. 71)
Unique sites:
La1 0.0000 0.0000 0.0000 (multiplicity 2)
La2 0.0000 0.0000 0.3569 (multiplicity 4)
La3 0.0000 0.5000 0.3270 (multiplicity 4)
Ag1 0.0000 0.2285 0.1797 (multiplicity 8)
Ag2 0.0000 0.2862 0.5000 (multiplicity 4)

Top 10 peaks for 10° ≤ 2θ ≤ 90°, by angle:
two_theta  I_rel  index
12.69  9  0 1 1
30.22  9  0 1 5
33.20  100  1 2 3
33.62  21  0 0 6
33.82  27  2 0 0
40.44  8  1 3 2
46.89  8  0 4 0
48.43  15  2 0 6
59.85  10  1 2 9
60.12  17  3 2 3

---

Record 5
Diffraction record for AgH3Rh. The PXRD pattern is theoretical, not measured: it uses the GGA-PBE geometry in Alexandria and Cu Kα.

Structural model:
Unit cell a=2.8883 b=6.6960 c=4.7862 alpha=90.00 beta=106.89 gamma=90.00
Space group P2_1/m (No. 11)
Unique sites:
Ag1 0.2267 0.2500 0.4553 (multiplicity 2)
H1 0.1093 0.5062 0.2276 (multiplicity 4)
H2 0.4577 0.2500 0.9074 (multiplicity 2)
Rh1 0.5000 0.0000 0.0000 (multiplicity 2)

Top 10 peaks for 10° ≤ 2θ ≤ 90°, by angle:
two_theta  I_rel  index
33.15  100  0 2 1
35.13  23  1 1 0
35.34  23  1 1 -1
39.35  27  0 0 2
42.41  16  1 2 0
42.59  15  1 2 -1
42.85  13  1 0 1
43.38  12  1 0 -2
54.84  12  0 4 0
74.26  10  2 2 0

---

Record 6
Diffraction record for Rb2PrScO4. The PXRD pattern is theoretical, not measured: it uses the GGA-PBE geometry in Alexandria and Cu Kα.

Structural model:
Unit cell a=7.0764 b=7.4939 c=10.2394 alpha=90.00 beta=90.00 gamma=90.00
Space group Imma (No. 74)
Unique sites:
Rb1 0.0000 0.0000 0.0000 (multiplicity 4)
Rb2 0.2500 0.2500 0.2500 (multiplicity 4)
Pr1 0.0000 0.0000 0.5000 (multiplicity 4)
Sc1 0.2500 0.2500 0.7500 (multiplicity 4)
O1 0.0000 0.0578 0.7357 (multiplicity 8)
O2 0.2160 0.2500 0.5347 (multiplicity 8)

Top 10 peaks for 10° ≤ 2θ ≤ 90°, by angle:
two_theta  I_rel  index
15.22  19  1 0 1
29.54  83  0 2 2
30.72  72  2 0 2
34.88  100  2 2 0
35.05  49  0 0 4
48.60  17  0 4 0
50.28  63  2 2 4
58.60  28  2 4 2
60.65  24  4 2 2
84.25  17  4 4 4

---

Record 7
Diffraction record for RbSmSc4Se8. The PXRD pattern is theoretical, not measured: it uses the GGA-PBE geometry in Alexandria and Cu Kα.

Structural model:
Unit cell a=8.1757 b=8.1757 c=21.3304 alpha=90.00 beta=90.00 gamma=120.00
Space group R3m (No. 160, hexagonal axes)
Unique sites:
Rb1 0.0000 0.0000 0.0000 (multiplicity 3)
Sm1 0.0000 0.0000 0.3551 (multiplicity 3)
Sc1 0.0000 0.0000 0.7337 (multiplicity 3)
Sc2 0.0113 0.5057 0.8639 (multiplicity 9)
Se1 0.0000 0.0000 0.1366 (multiplicity 3)
Se2 0.0000 0.0000 0.6041 (multiplicity 3)
Se3 0.0094 0.5047 0.1143 (multiplicity 9)
Se4 0.1839 0.3678 0.9303 (multiplicity 9)

Top 10 peaks for 10° ≤ 2θ ≤ 90°, by angle:
two_theta  I_rel  index
13.18  35  1 0 1
21.74  24  1 1 0
24.36  20  0 1 5
25.12  51  1 1 3
26.53  31  2 0 2
30.30  100  0 2 4
39.76  22  1 2 5
42.44  55  2 0 8
44.32  64  2 2 0
54.63  17  4 0 4

---

Record 8
Diffraction record for LaSn3Rh. The PXRD pattern is theoretical, not measured: it uses the GGA-PBE geometry in Alexandria and Cu Kα.

Structural model:
Unit cell a=6.7135 b=6.0956 c=6.2978 alpha=90.00 beta=90.00 gamma=90.00
Space group Pmn2_1 (No. 31)
Unique sites:
La1 0.0000 0.1391 0.0000 (multiplicity 2)
Sn1 0.0000 0.8981 0.5409 (multiplicity 2)
Sn2 0.2408 0.3358 0.4388 (multiplicity 4)
Rh1 0.0000 0.6105 0.2405 (multiplicity 2)

Top 10 peaks for 10° ≤ 2θ ≤ 90°, by angle:
two_theta  I_rel  index
24.26  19  1 1 1
28.34  28  0 0 2
30.40  23  2 1 0
32.64  76  0 2 1
33.64  100  2 1 1
42.04  44  2 1 2
42.56  17  2 2 1
54.72  22  4 0 0
60.87  21  2 3 2
65.16  21  4 2 1

---

Record 9
Diffraction record for BaCa4Rh2. The PXRD pattern is theoretical, not measured: it uses the GGA-PBE geometry in Alexandria and Cu Kα.

Structural model:
Unit cell a=8.1956 b=16.8254 c=6.5884 alpha=90.00 beta=90.00 gamma=90.00
Space group Ima2 (No. 46)
Unique sites:
Ba1 0.2500 0.1139 0.0000 (multiplicity 4)
Ca1 0.0123 0.6798 0.9618 (multiplicity 8)
Ca2 0.2500 0.5051 0.0003 (multiplicity 4)
Ca3 0.2500 0.6115 0.5137 (multiplicity 4)
Rh1 0.0000 0.0000 0.2173 (multiplicity 4)
Rh2 0.2500 0.7417 0.2261 (multiplicity 4)

Top 10 peaks for 10° ≤ 2θ ≤ 90°, by angle:
two_theta  I_rel  index
14.44  68  0 1 1
19.18  62  1 3 0
26.15  46  2 1 1
29.71  34  1 1 2
29.81  49  0 5 1
30.23  79  2 3 1
34.58  54  0 4 2
36.59  100  2 2 2
37.17  41  2 5 1
44.23  40  4 0 0

---

Record 10
Diffraction record for Na2MgAs2O6. The PXRD pattern is theoretical, not measured: it uses the GGA-PBE geometry in Alexandria and Cu Kα.

Structural model:
Unit cell a=5.4696 b=5.4696 c=5.9475 alpha=90.00 beta=90.00 gamma=120.00
Space group P-3 (No. 147)
Unique sites:
Na1 0.3333 0.6667 0.4071 (multiplicity 2)
Mg1 0.0000 0.0000 0.0000 (multiplicity 1)
As1 0.3333 0.6667 0.9075 (multiplicity 2)
O1 0.0636 0.7128 0.7902 (multiplicity 6)

Top 10 peaks for 10° ≤ 2θ ≤ 90°, by angle:
two_theta  I_rel  index
14.90  100  0 0 1
18.73  45  1 0 0
24.02  49  0 1 1
32.75  72  1 1 0
35.65  100  0 1 2
36.15  52  2 -1 1
45.04  37  2 -1 2
49.18  28  2 0 2
58.45  31  3 0 0
60.35  38  3 -2 2

---

Record 11
Diffraction record for CeTh2Ge3. The PXRD pattern is theoretical, not measured: it uses the GGA-PBE geometry in Alexandria and Cu Kα.

Structural model:
Unit cell a=6.0516 b=12.8543 c=8.5585 alpha=90.00 beta=90.00 gamma=90.00
Space group P2_1/c (No. 14)
Unique sites:
Ce1 0.2496 0.0842 0.1243 (multiplicity 4)
Th1 0.2496 0.0830 0.6252 (multiplicity 4)
Th2 0.2507 0.7486 0.1252 (multiplicity 4)
Ge1 0.2492 0.2492 0.3748 (multiplicity 4)
Ge2 0.2504 0.5810 0.8703 (multiplicity 4)
Ge3 0.2504 0.5818 0.3795 (multiplicity 4)

Top 10 peaks for 10° ≤ 2θ ≤ 90°, by angle:
two_theta  I_rel  index
25.48  37  1 3 0
29.51  100  2 0 0
42.22  76  2 3 2
49.96  19  1 3 4
52.35  27  2 6 0
61.24  13  4 0 0
67.43  8  1 0 6
69.42  35  4 3 2
77.19  26  4 6 0
82.85  6  3 0 6

---

Record 12
Diffraction record for CsYFeCl6. The PXRD pattern is theoretical, not measured: it uses the GGA-PBE geometry in Alexandria and Cu Kα.

Structural model:
Unit cell a=6.7541 b=11.6954 c=7.8184 alpha=90.00 beta=90.09 gamma=90.00
Space group C2 (No. 5)
Unique sites:
Cs1 0.0000 0.0000 0.0000 (multiplicity 2)
Y1 0.0000 0.3336 0.5000 (multiplicity 2)
Fe1 0.0000 0.6670 0.5000 (multiplicity 2)
Cl1 0.1201 0.5084 0.6906 (multiplicity 4)
Cl2 0.1759 0.8069 0.6888 (multiplicity 4)
Cl3 0.2010 0.1838 0.6882 (multiplicity 4)

Top 10 peaks for 10° ≤ 2θ ≤ 90°, by angle:
two_theta  I_rel  index
11.32  14  0 0 1
18.95  100  0 2 1
26.40  15  2 0 0
28.80  20  2 0 1
32.70  17  0 4 1
35.12  59  1 3 2
42.50  24  3 1 -1
46.60  23  0 6 0
54.22  12  2 0 4
58.08  12  4 2 1